Starting from a DFT-relaxed cell (PBE+U, Alexandria), the PXRD pattern of NiH4SeO5 was calculated for CuKα.

Crystal structure
Cell lengths 6.4911, 8.7953, 9.1830 Å; angles 90.00, 124.70, 90.00 degrees
Space group P2_1/c (No. 14)
Asymmetric unit:
Ni  0.1687  0.1386  0.0192 (multiplicity 4)
H  0.0749  0.1334  0.6422 (multiplicity 4)
H  0.3034  0.0751  0.6311 (multiplicity 4)
H  0.3037  0.5181  0.7936 (multiplicity 4)
H  0.4312  0.1461  0.3731 (multiplicity 4)
Se  0.2377  0.6546  0.3369 (multiplicity 4)
O  0.0899  0.6692  0.7648 (multiplicity 4)
O  0.1370  0.5917  0.4668 (multiplicity 4)
O  0.1538  0.1406  0.5755 (multiplicity 4)
O  0.4091  0.0625  0.2901 (multiplicity 4)
O  0.4580  0.2047  0.9986 (multiplicity 4)

Top 10 peaks for 10 to 80 degrees two-theta, in order of rising 2θ:
| 2θ (°) | I (rel.) | (hkl) |
| --- | --- | --- |
| 15.47 | 100 | 0 1 1 |
| 22.08 | 29 | 1 1 -2 |
| 23.41 | 33 | 0 2 1 |
| 25.68 | 49 | 0 1 2 |
| 29.70 | 72 | 2 1 -2 |
| 32.77 | 34 | 0 3 1 |
| 33.60 | 23 | 2 0 0 |
| 35.92 | 25 | 1 2 -3 |
| 37.60 | 27 | 1 1 2 |
| 52.52 | 23 | 1 2 3 |